Diffraction record for CsLaMg14O16. The powder diffraction line list is theoretical, not measured: it uses a PBE-relaxed structure and Cu Kα (weighted mean of Kα1 and Kα2).

Structural model:
```
CsLaMg14O16
1.0
8.943 0.000 0.000
0.000 8.943 0.000
0.000 0.000 4.604
Cs La Mg O
1 1 14 16
Direct
0.000 0.000 0.000 Cs
0.500 0.500 0.000 La
0.000 0.258 0.500 Mg
0.000 0.500 0.000 Mg
0.000 0.742 0.500 Mg
0.232 0.500 0.500 Mg
0.244 0.244 0.000 Mg
0.244 0.756 0.000 Mg
0.258 0.000 0.500 Mg
0.500 0.000 0.000 Mg
0.500 0.232 0.500 Mg
0.500 0.768 0.500 Mg
0.742 0.000 0.500 Mg
0.756 0.244 0.000 Mg
0.756 0.756 0.000 Mg
0.768 0.500 0.500 Mg
0.000 0.000 0.500 O
0.000 0.285 0.000 O
0.000 0.500 0.500 O
0.000 0.715 0.000 O
0.237 0.500 0.000 O
0.252 0.252 0.500 O
0.252 0.748 0.500 O
0.285 0.000 0.000 O
0.500 0.000 0.500 O
0.500 0.237 0.000 O
0.500 0.500 0.500 O
0.500 0.763 0.000 O
0.715 0.000 0.000 O
0.748 0.252 0.500 O
0.748 0.748 0.500 O
0.763 0.500 0.000 O
```

Principal peaks in the range 10 to 80 degrees two-theta, low angle first:
hkl 1 1 0, 14.01°, I = 55.1
hkl 2 0 0, 19.86°, I = 40.5
hkl 1 1 1, 23.91°, I = 47.3
hkl 2 0 1, 27.81°, I = 34.7
hkl 3 1 0, 31.64°, I = 32.7
hkl 2 2 1, 34.41°, I = 55.2
hkl 3 1 1, 37.32°, I = 31.3
hkl 0 0 2, 39.13°, I = 57.6
hkl 4 0 0, 40.34°, I = 100.0
hkl 4 0 2, 57.46°, I = 63.6